Entry 1:
Structure and theoretical powder X-ray diffraction pattern of ReTc2Hg (a structure optimized by DFT (PBE); Cu Ka).
Lines closer than 0.1° are merged.

Main lines, low angle first (2θ = 10–90°):
2θ/deg	intensity
22.11	11
31.56	9
38.87	100
45.10	15
45.24	34
65.80	19
65.90	11
79.04	10
79.23	25
83.44	10

Cell and atoms:
Lattice parameters (Å, degrees): 2.835 2.835 8.040 90.00 90.00 90.00
Fractional positions:
Re 0.000 0.000 0.000
Tc 0.500 0.500 0.225
Tc 0.500 0.500 0.775
Hg 0.000 0.000 0.500

=====

Entry 2:
Structure and theoretical powder X-ray diffraction pattern of ReHgTe2 (a structure optimized by DFT (PBE); Cu Ka).
Lines closer than 0.1° are merged.

Main lines, low angle first (2θ = 10–90°):
2θ/deg	intensity
13.74	55
27.71	42
36.45	100
37.01	35
42.07	24
44.07	50
57.25	21
66.33	18
67.98	19
85.73	14

Cell and atoms:
Lattice parameters (Å, degrees): 3.193 4.858 12.887 90.00 90.00 90.00
Fractional positions:
Re 0.000 0.000 0.000
Re 0.500 0.500 0.500
Hg 0.000 0.000 0.500
Hg 0.500 0.500 0.000
Te 0.000 0.500 0.328
Te 0.000 0.500 0.672
Te 0.500 0.000 0.172
Te 0.500 0.000 0.828

=====

Entry 3:
Structure and theoretical powder X-ray diffraction pattern of YReHg4 (a structure optimized by DFT (PBE); Cu Ka).
Lines closer than 0.1° are merged.

Main lines, low angle first (2θ = 10–90°):
2θ/deg	intensity
19.15	22
31.53	16
37.15	100
38.87	54
45.18	11
56.14	6
59.88	34
65.82	31
78.07	12
79.15	21

Cell and atoms:
Lattice parameters (Å, degrees): 5.676 5.676 5.676 60.00 60.00 60.00
Fractional positions:
Y 0.000 0.000 0.000
Re 0.250 0.250 0.250
Hg 0.127 0.624 0.624
Hg 0.624 0.127 0.624
Hg 0.624 0.624 0.127
Hg 0.624 0.624 0.624

=====

Entry 4:
Structure and theoretical powder X-ray diffraction pattern of HgRh2 (a structure optimized by DFT (PBE); Cu Ka).
Lines closer than 0.1° are merged.

Main lines, low angle first (2θ = 10–90°):
2θ/deg	intensity
22.88	18
39.14	100
40.18	84
46.74	3
57.34	33
65.34	7
72.32	33
73.02	14
79.56	23
86.79	9

Cell and atoms:
Lattice parameters (Å, degrees): 4.488 4.488 2.856 90.00 90.00 120.00
Fractional positions:
Hg 0.000 0.000 0.000
Rh 0.333 0.667 0.500
Rh 0.667 0.333 0.500

=====

Entry 5:
Structure and theoretical powder X-ray diffraction pattern of Hg4Rh5 (a structure optimized by DFT (PBE); Cu Ka).
Lines closer than 0.1° are merged.

Main lines, low angle first (2θ = 10–90°):
2θ/deg	intensity
29.26	7
31.63	10
38.03	100
43.54	18
44.53	31
64.04	21
64.80	10
76.27	13
77.68	22
81.34	11

Cell and atoms:
Lattice parameters (Å, degrees): 6.448 6.448 6.448 95.96 95.96 142.39
Fractional positions:
Hg 0.000 0.319 0.319
Hg 0.000 0.681 0.681
Hg 0.319 0.000 0.319
Hg 0.681 0.000 0.681
Rh 0.000 0.000 0.000
Rh 0.341 0.341 0.682
Rh 0.341 0.659 0.000
Rh 0.659 0.341 0.000
Rh 0.659 0.659 0.318

=====

Entry 6:
Structure and theoretical powder X-ray diffraction pattern of HgRh (a structure optimized by DFT (PBE); Cu Ka).
Lines closer than 0.1° are merged.

Main lines, low angle first (2θ = 10–90°):
2θ/deg	intensity
27.31	36
32.47	50
33.08	45
36.90	85
39.95	100
41.16	50
41.47	83
42.88	60
48.11	22
68.62	43

Cell and atoms:
Lattice parameters (Å, degrees): 9.087 2.975 6.632 90.00 126.03 90.00
Fractional positions:
Hg 0.068 0.000 0.352
Hg 0.432 0.500 0.648
Hg 0.568 0.500 0.352
Hg 0.932 0.000 0.648
Rh 0.181 0.500 0.094
Rh 0.319 0.000 0.906
Rh 0.681 0.000 0.094
Rh 0.819 0.500 0.906

=====

Entry 7:
Structure and theoretical powder X-ray diffraction pattern of Hg2RuRh (a structure optimized by DFT (PBE); Cu Ka).
Lines closer than 0.1° are merged.

Main lines, low angle first (2θ = 10–90°):
2θ/deg	intensity
19.46	23
37.15	51
37.47	100
39.51	43
43.59	33
44.29	63
62.25	23
65.51	20
75.67	13
75.99	13

Cell and atoms:
Lattice parameters (Å, degrees): 4.893 2.941 5.191 90.00 111.19 90.00
Fractional positions:
Hg 0.000 0.000 0.000
Hg 0.000 0.500 0.500
Ru 0.500 0.000 0.500
Rh 0.500 0.500 0.000

=====

Entry 8:
Structure and theoretical powder X-ray diffraction pattern of Tm4HgRuRh2 (a structure optimized by DFT (PBE); Cu Ka).
Lines closer than 0.1° are merged.

Main lines, low angle first (2θ = 10–90°):
2θ/deg	intensity
28.17	5
36.75	97
36.98	100
53.12	34
66.04	15
66.48	34
66.63	18
78.17	9
78.72	11
89.77	14

Cell and atoms:
Lattice parameters (Å, degrees): 8.489 8.489 8.489 33.28 33.28 33.28
Fractional positions:
Tm 0.118 0.118 0.118
Tm 0.370 0.370 0.370
Tm 0.630 0.630 0.630
Tm 0.882 0.882 0.882
Hg 0.500 0.500 0.500
Ru 0.000 0.000 0.000
Rh 0.252 0.252 0.252
Rh 0.748 0.748 0.748

=====

Entry 9:
Structure and theoretical powder X-ray diffraction pattern of HgRh5Se8 (a structure optimized by DFT (PBE); Cu Ka).
Lines closer than 0.1° are merged.

Main lines, low angle first (2θ = 10–90°):
2θ/deg	intensity
19.22	34
31.09	44
31.17	84
32.94	45
33.06	22
40.03	39
45.70	22
45.85	40
48.83	100
59.03	22

Cell and atoms:
Lattice parameters (Å, degrees): 9.866 9.866 8.644 104.42 104.42 21.80
Fractional positions:
Hg 0.000 0.000 0.000
Rh 0.158 0.158 0.474
Rh 0.203 0.203 0.822
Rh 0.500 0.500 0.500
Rh 0.798 0.798 0.177
Rh 0.842 0.842 0.526
Se 0.074 0.074 0.646
Se 0.263 0.263 0.348
Se 0.323 0.323 0.009
Se 0.413 0.413 0.674
Se 0.588 0.588 0.325
Se 0.678 0.678 0.990
Se 0.738 0.738 0.652
Se 0.927 0.927 0.354

=====

Entry 10:
Structure and theoretical powder X-ray diffraction pattern of HgRhSe4 (a structure optimized by DFT (PBE); Cu Ka).
Lines closer than 0.1° are merged.

Main lines, low angle first (2θ = 10–90°):
2θ/deg	intensity
19.19	8
31.59	50
37.23	100
38.95	22
56.26	20
60.01	33
65.97	25
74.99	8
78.26	12
79.34	8

Cell and atoms:
Lattice parameters (Å, degrees): 5.664 5.664 5.664 60.00 60.00 60.00
Fractional positions:
Hg 0.000 0.000 0.000
Rh 0.750 0.750 0.750
Se 0.376 0.376 0.376
Se 0.376 0.376 0.873
Se 0.376 0.873 0.376
Se 0.873 0.376 0.376

=====

Entry 11:
Structure and theoretical powder X-ray diffraction pattern of Ta2Hg2RhSe6 (a structure optimized by DFT (PBE); Cu Ka).
Lines closer than 0.1° are merged.

Main lines, low angle first (2θ = 10–90°):
2θ/deg	intensity
16.33	39
18.46	83
18.78	68
24.74	35
31.58	67
32.48	100
34.34	38
37.77	46
40.97	37
43.73	51

Cell and atoms:
Lattice parameters (Å, degrees): 6.169 6.169 9.957 97.11 97.11 123.21
Fractional positions:
Ta 0.140 0.860 0.000
Ta 0.860 0.140 0.000
Hg 0.248 0.752 0.500
Hg 0.752 0.248 0.500
Rh 0.500 0.500 0.000
Se 0.101 0.101 0.815
Se 0.247 0.588 0.157
Se 0.412 0.753 0.843
Se 0.588 0.247 0.157
Se 0.753 0.412 0.843
Se 0.899 0.899 0.185

=====

Entry 12:
Structure and theoretical powder X-ray diffraction pattern of Y2Si2HgRh5 (a structure optimized by DFT (PBE); Cu Ka).
Lines closer than 0.1° are merged.

Main lines, low angle first (2θ = 10–90°):
2θ/deg	intensity
32.59	28
36.34	38
37.78	36
38.66	100
41.11	35
41.94	23
51.92	19
65.98	14
68.28	15
73.28	19

Cell and atoms:
Lattice parameters (Å, degrees): 9.819 9.819 3.522 90.00 90.00 90.00
Fractional positions:
Y 0.175 0.325 0.000
Y 0.325 0.825 0.000
Y 0.675 0.175 0.000
Y 0.825 0.675 0.000
Si 0.123 0.623 0.000
Si 0.377 0.123 0.000
Si 0.623 0.877 0.000
Si 0.877 0.377 0.000
Hg 0.000 0.000 0.000
Hg 0.500 0.500 0.000
Rh 0.000 0.500 0.500
Rh 0.069 0.782 0.500
Rh 0.218 0.069 0.500
Rh 0.282 0.569 0.500
Rh 0.431 0.282 0.500
Rh 0.500 0.000 0.500
Rh 0.569 0.718 0.500
Rh 0.718 0.431 0.500
Rh 0.782 0.931 0.500
Rh 0.931 0.218 0.500

=====

Entry 13:
Structure and theoretical powder X-ray diffraction pattern of Sm5Hg2Rh2 (a structure optimized by DFT (PBE); Cu Ka).
Lines closer than 0.1° are merged.

Main lines, low angle first (2θ = 10–90°):
2θ/deg	intensity
26.07	54
30.50	75
31.79	87
32.38	88
32.55	78
32.76	84
34.52	100
36.52	74
37.86	65
38.04	50

Cell and atoms:
Lattice parameters (Å, degrees): 8.862 8.862 7.909 90.00 90.00 50.55
Fractional positions:
Sm 0.000 0.000 0.000
Sm 0.047 0.708 0.673
Sm 0.208 0.547 0.173
Sm 0.292 0.953 0.673
Sm 0.453 0.792 0.173
Sm 0.500 0.500 0.500
Sm 0.547 0.208 0.827
Sm 0.708 0.047 0.327
Sm 0.792 0.453 0.827
Sm 0.953 0.292 0.327
Hg 0.214 0.214 0.000
Hg 0.286 0.286 0.500
Hg 0.714 0.714 0.500
Hg 0.786 0.786 0.000
Rh 0.131 0.869 0.368
Rh 0.369 0.631 0.868
Rh 0.631 0.369 0.132
Rh 0.869 0.131 0.632

=====

Entry 14:
Structure and theoretical powder X-ray diffraction pattern of Sm4Hg5Rh2 (a structure optimized by DFT (PBE); Cu Ka).
Lines closer than 0.1° are merged.

Main lines, low angle first (2θ = 10–90°):
2θ/deg	intensity
31.17	54
32.17	79
33.23	100
33.47	72
34.71	64
35.04	55
35.28	70
37.23	44
37.62	57
49.22	48

Cell and atoms:
Lattice parameters (Å, degrees): 7.776 3.703 9.587 90.00 94.47 90.00
Fractional positions:
Sm 0.181 0.000 0.349
Sm 0.221 0.000 0.938
Sm 0.779 0.000 0.062
Sm 0.819 0.000 0.651
Hg 0.169 0.500 0.645
Hg 0.455 0.500 0.169
Hg 0.500 0.500 0.500
Hg 0.545 0.500 0.831
Hg 0.831 0.500 0.355
Rh 0.077 0.500 0.141
Rh 0.923 0.500 0.859